The following is a theoretical XRD peak list of Zr3Zn2Pd3. It was derived from a DFT-relaxed cell (PBE, Alexandria), using Cu Kα.

Top 6 peaks for 2θ from 5° to 70°, sorted by position:
2.627 Å, I 24, hkl 0 0 2; 2.336 Å, I 100, hkl 2 1 1; 2.300 Å, I 43, hkl 3 0 0; 2.193 Å, I 59, hkl 1 1 2; 1.798 Å, I 24, hkl 3 1 1; 1.454 Å, I 22, hkl 2 1 3

Structural model:
a = 7.9691 Å, b = 7.9691 Å, c = 5.2544 Å
α = 90.00°, β = 90.00°, γ = 120.00°
Space group P6_3/mcm (No. 193)
One atom of each set of equivalent atoms:
Zr1 0.0000 0.2537 0.2500
Zn1 0.3333 0.6667 0.0000
Pd1 0.0000 0.3982 0.7500


The following is a theoretical XRD peak list of Sr4Tl3Pt. It was derived from a DFT-relaxed cell (PBE, Alexandria), using Cu Kα.

Top 6 peaks for 2θ from 5° to 70°, sorted by position:
3.924 Å, I 17, hkl 1 0 0; 2.851 Å, I 100, hkl 1 0 4; 2.775 Å, I 49, hkl 1 1 0; 1.962 Å, I 18, hkl 2 0 0; 1.661 Å, I 18, hkl 1 1 8; 1.616 Å, I 37, hkl 2 1 4

Structural model:
a = 3.9242 Å, b = 3.9242 Å, c = 16.5953 Å
α = 90.00°, β = 90.00°, γ = 90.00°
Space group P4/mmm (No. 123)
One atom of each set of equivalent atoms:
Sr1 0.0000 0.0000 0.1044
Sr2 0.0000 0.0000 0.3707
Tl1 0.5000 0.5000 0.2431
Tl2 0.5000 0.5000 0.5000
Pt1 0.5000 0.5000 0.0000